Record 1
Computed X-ray powder pattern of Mn7CrO16 for Cu Kα (λ = 1.5418 Å), from a cell relaxed with PBE+U.
No peak broadening, texture or thermal motion is included.

The 6 most intense peaks (2θ from 10° to 90°), in order of falling intensity:
18.66 deg, 4.756 Å, I 100, hkl 1 0 -1; 43.97 deg, 2.059 Å, I 49, hkl 2 2 0; 36.17 deg, 2.484 Å, I 34, hkl 1 2 1; 63.91 deg, 1.457 Å, I 17, hkl 4 0 0; 58.19 deg, 1.585 Å, I 15, hkl 1 0 -5; 67.22 deg, 1.393 Å, I 10, hkl 1 2 5

Structure:
```
data_Mn7CrO16
_chemical_formula_sum 'Mn7 Cr1 O16'
_cell_length_a 5.825
_cell_length_b 5.823
_cell_length_c 8.239
_cell_angle_alpha 90.00
_cell_angle_beta 90.11
_cell_angle_gamma 90.00
_space_group_name_H-M_alt 'P 1 2/m 1'
_space_group_IT_number 10
_space_group_name_Hall '-P 2y'
loop_
_atom_site_label
_atom_site_fract_x
_atom_site_fract_y
_atom_site_fract_z
Mn1 0.000 0.000 0.000
Mn2 0.000 0.500 0.500
Mn3 0.250 0.250 0.250
Mn4 0.500 0.500 0.500
Cr1 0.500 0.000 0.000
O1 0.029 0.500 0.265
O2 0.030 0.000 0.235
O3 0.249 0.220 0.016
O4 0.250 0.280 0.486
O5 0.469 0.000 0.236
O6 0.470 0.500 0.265
```

Record 2
Computed X-ray powder pattern of Rb4MgV4Cu2P4O24 for Cu Kα (λ = 1.5418 Å), from a cell relaxed with PBE+U.
No peak broadening, texture or thermal motion is included.

The 6 most intense peaks (2θ from 10° to 90°), in order of falling intensity:
32.19 deg, 2.781 Å, I 100, hkl 0 3 -2; 23.68 deg, 3.757 Å, I 91, hkl 1 1 -2; 30.05 deg, 2.974 Å, I 75, hkl 1 -1 3; 25.12 deg, 3.545 Å, I 59, hkl 1 2 -1; 33.53 deg, 2.673 Å, I 49, hkl 2 0 0; 28.32 deg, 3.151 Å, I 41, hkl 1 2 2

Structure:
```
data_Rb4MgV4Cu2P4O24
_chemical_formula_sum 'Rb4 Mg1 V4 Cu2 P4 O24'
_cell_length_a 5.369
_cell_length_b 9.479
_cell_length_c 11.898
_cell_angle_alpha 89.94
_cell_angle_beta 89.75
_cell_angle_gamma 84.63
_space_group_name_H-M_alt 'P 1'
_space_group_IT_number 1
_space_group_name_Hall 'P 1'
loop_
_atom_site_label
_atom_site_fract_x
_atom_site_fract_y
_atom_site_fract_z
Rb1 0.000 0.000 0.000
Rb2 0.035 0.566 0.280
Rb3 0.891 0.798 0.755
Rb4 0.933 0.324 0.565
Mg1 0.133 0.194 0.217
V1 0.409 0.178 0.801
V2 0.418 0.672 0.525
V3 0.527 0.678 0.020
V4 0.551 0.171 0.321
Cu1 0.971 0.926 0.415
Cu2 0.975 0.424 0.909
P1 0.448 0.011 0.552
P2 0.448 0.511 0.775
P3 0.476 0.850 0.273
P4 0.507 0.340 0.043
O1 0.106 0.153 0.794
O2 0.120 0.638 0.530
O3 0.167 0.534 0.803
O4 0.171 0.033 0.520
O5 0.293 0.279 0.358
O6 0.321 0.798 0.374
O7 0.339 0.311 0.939
O8 0.352 0.788 0.939
O9 0.370 0.010 0.250
O10 0.417 0.761 0.169
O11 0.426 0.240 0.136
O12 0.436 0.496 0.082
O13 0.510 0.101 0.655
O14 0.514 0.609 0.677
O15 0.528 0.355 0.738
O16 0.536 0.853 0.576
O17 0.561 0.053 0.878
O18 0.587 0.551 0.449
O19 0.621 0.547 0.876
O20 0.630 0.060 0.458
O21 0.758 0.845 0.296
O22 0.791 0.311 0.020
O23 0.820 0.720 0.024
O24 0.828 0.239 0.285
```

Record 3
Computed X-ray powder pattern of Mg14FeBiO16 for Cu Kα (λ = 1.5418 Å), from a cell relaxed with PBE+U.
No peak broadening, texture or thermal motion is included.

The 6 most intense peaks (2θ from 10° to 90°), in order of falling intensity:
41.23 deg, 2.190 Å, I 100, hkl 2 0 0; 10.13 deg, 8.736 Å, I 96, hkl 0 1 0; 22.72 deg, 3.914 Å, I 76, hkl 1 1 0; 59.77 deg, 1.547 Å, I 59, hkl 2 4 0; 30.66 deg, 2.916 Å, I 58, hkl 0 3 0; 20.30 deg, 4.374 Å, I 55, hkl 0 2 0

Structure:
```
data_Mg14FeBiO16
_chemical_formula_sum 'Mg14 Fe1 Bi1 O16'
_cell_length_a 4.382
_cell_length_b 8.729
_cell_length_c 8.752
_cell_angle_alpha 90.00
_cell_angle_beta 90.00
_cell_angle_gamma 90.00
_space_group_name_H-M_alt 'P m m m'
_space_group_IT_number 47
_space_group_name_Hall '-P 2 2'
loop_
_atom_site_label
_atom_site_fract_x
_atom_site_fract_y
_atom_site_fract_z
Mg1 0.000 0.000 0.000
Mg2 0.000 0.000 0.500
Mg3 0.000 0.244 0.238
Mg4 0.500 0.000 0.246
Mg5 0.500 0.235 0.500
Mg6 0.500 0.250 0.000
Mg7 0.500 0.500 0.232
Fe1 0.000 0.500 0.000
Bi1 0.000 0.500 0.500
O1 0.000 0.000 0.251
O2 0.000 0.231 0.000
O3 0.000 0.232 0.500
O4 0.000 0.500 0.240
O5 0.500 0.000 0.000
O6 0.500 0.000 0.500
O7 0.500 0.252 0.252
O8 0.500 0.500 0.000
O9 0.500 0.500 0.500
```

Record 4
Computed X-ray powder pattern of CrCuO4 for Cu Kα (λ = 1.5418 Å), from a cell relaxed with PBE+U.
No peak broadening, texture or thermal motion is included.

The 6 most intense peaks (2θ from 10° to 90°), in order of falling intensity:
35.72 deg, 2.514 Å, I 100, hkl 1 1 2; 34.02 deg, 2.635 Å, I 86, hkl 1 3 0; 24.17 deg, 3.682 Å, I 61, hkl 1 1 1; 24.77 deg, 3.594 Å, I 56, hkl 0 2 1; 61.72 deg, 1.503 Å, I 54, hkl 2 4 2; 32.66 deg, 2.742 Å, I 49, hkl 2 0 0

Structure:
```
data_CrCuO4
_chemical_formula_sum 'Cr4 Cu4 O16'
_cell_length_a 5.483
_cell_length_b 9.014
_cell_length_c 5.958
_cell_angle_alpha 90.00
_cell_angle_beta 90.00
_cell_angle_gamma 90.00
_space_group_name_H-M_alt 'C m c m'
_space_group_IT_number 63
_space_group_name_Hall '-C 2c 2'
loop_
_atom_site_label
_atom_site_fract_x
_atom_site_fract_y
_atom_site_fract_z
Cr1 0.000 0.133 0.250
Cu1 0.000 0.500 0.000
O1 0.000 0.237 0.030
O2 0.237 0.478 0.750
```

Record 5
Computed X-ray powder pattern of Ba2UFeO6 for Cu Kα (λ = 1.5418 Å), from a cell relaxed with PBE+U.
No peak broadening, texture or thermal motion is included.

The 6 most intense peaks (2θ from 10° to 90°), in order of falling intensity:
29.90 deg, 2.988 Å, I 100, hkl 2 2 0; 53.08 deg, 1.725 Å, I 41, hkl 4 2 2; 42.80 deg, 2.113 Å, I 29, hkl 4 0 0; 86.09 deg, 1.129 Å, I 22, hkl 6 4 2; 18.18 deg, 4.880 Å, I 21, hkl 1 1 1; 62.13 deg, 1.494 Å, I 19, hkl 4 4 0

Structure:
```
data_Ba2UFeO6
_chemical_formula_sum 'Ba8 U4 Fe4 O24'
_cell_length_a 8.452
_cell_length_b 8.452
_cell_length_c 8.452
_cell_angle_alpha 90.00
_cell_angle_beta 90.00
_cell_angle_gamma 90.00
_space_group_name_H-M_alt 'F m -3 m'
_space_group_IT_number 225
_space_group_name_Hall '-F 4 2 3'
loop_
_atom_site_label
_atom_site_fract_x
_atom_site_fract_y
_atom_site_fract_z
Ba1 0.250 0.250 0.250
U1 0.000 0.000 0.000
Fe1 0.000 0.000 0.500
O1 0.000 0.000 0.255
```

Record 6
Computed X-ray powder pattern of Li9Co7O16 for Cu Kα (λ = 1.5418 Å), from a cell relaxed with PBE+U.
No peak broadening, texture or thermal motion is included.

The 6 most intense peaks (2θ from 10° to 90°), in order of falling intensity:
18.39 deg, 4.825 Å, I 100, hkl 0 1 1; 42.44 deg, 2.130 Å, I 30, hkl -1 1 5; 43.75 deg, 2.069 Å, I 27, hkl 1 1 5; 44.79 deg, 2.023 Å, I 25, hkl 0 2 -6; 35.22 deg, 2.548 Å, I 18, hkl 1 0 -4; 36.09 deg, 2.489 Å, I 15, hkl 1 0 4

Structure:
```
data_Li9Co7O16
_chemical_formula_sum 'Li9 Co7 O16'
_cell_length_a 2.972
_cell_length_b 5.060
_cell_length_c 19.007
_cell_angle_alpha 92.80
_cell_angle_beta 91.45
_cell_angle_gamma 90.75
_space_group_name_H-M_alt 'P 1'
_space_group_IT_number 1
_space_group_name_Hall 'P 1'
loop_
_atom_site_label
_atom_site_fract_x
_atom_site_fract_y
_atom_site_fract_z
Li1 0.000 0.000 0.000
Li2 0.000 0.498 0.500
Li3 0.496 0.626 0.374
Li4 0.499 0.874 0.126
Li5 0.500 0.999 0.500
Li6 0.502 0.122 0.873
Li7 0.504 0.371 0.625
Li8 0.998 0.250 0.749
Li9 0.998 0.748 0.250
Co1 0.008 0.630 0.874
Co2 0.490 0.756 0.749
Co3 0.494 0.244 0.250
Co4 0.514 0.497 0.999
Co5 0.999 0.122 0.380
Co6 0.999 0.367 0.125
Co7 0.999 0.874 0.620
O1 0.000 0.154 0.570
O2 0.000 0.843 0.430
O3 0.002 0.403 0.314
O4 0.006 0.657 0.061
O5 0.024 0.336 0.937
O6 0.450 0.540 0.187
O7 0.459 0.463 0.812
O8 0.460 0.042 0.687
O9 0.466 0.302 0.433
O10 0.532 0.695 0.566
O11 0.536 0.198 0.065
O12 0.542 0.956 0.312
O13 0.554 0.792 0.933
O14 0.987 0.594 0.686
O15 0.990 0.081 0.187
O16 0.996 0.919 0.812
```